No. 1
Diffraction record for PmEr2Pd. The powder XRD pattern is theoretical, not measured: it uses a DFT-relaxed cell (PBE, Alexandria) and CuKα.
No peak broadening, texture or thermal motion is included.

Crystal structure
a = 3.748 Å, b = 9.206 Å, c = 6.557 Å
α = 90.00°, β = 106.54°, γ = 90.00°
Positions (direct):
Pm 0.057 0.250 0.116
Pm 0.943 0.750 0.884
Er 0.363 0.059 0.725
Er 0.363 0.441 0.725
Er 0.637 0.559 0.275
Er 0.637 0.941 0.275
Pd 0.238 0.750 0.477
Pd 0.762 0.250 0.523

Top 8 peaks for 10° ≤ 2θ ≤ 80°, by angle:
- (0 1 2), 2θ 30.04, rel. 284
- (1 2 0), 2θ 31.59, rel. 1000
- (1 0 -2), 2θ 32.04, rel. 554
- (0 3 1), 2θ 32.47, rel. 716
- (1 1 1), 2θ 33.52, rel. 838
- (0 2 2), 2θ 34.56, rel. 530
- (1 3 -1), 2θ 38.59, rel. 502
- (2 0 -1), 2θ 48.58, rel. 282

No. 2
Diffraction record for Li12ZnCu2. The powder XRD pattern is theoretical, not measured: it uses a DFT-relaxed cell (PBE, Alexandria) and CuKα.
No peak broadening, texture or thermal motion is included.

Crystal structure
a = 2.711 Å, b = 4.998 Å, c = 18.441 Å
α = 90.00°, β = 90.00°, γ = 90.00°
Positions (direct):
Li 0.000 0.000 0.073
Li 0.000 0.000 0.927
Li 0.000 0.247 0.500
Li 0.000 0.753 0.500
Li 0.500 0.000 0.222
Li 0.500 0.000 0.362
Li 0.500 0.000 0.638
Li 0.500 0.000 0.778
Li 0.500 0.500 0.133
Li 0.500 0.500 0.373
Li 0.500 0.500 0.627
Li 0.500 0.500 0.867
Zn 0.000 0.500 0.000
Cu 0.000 0.500 0.256
Cu 0.000 0.500 0.744

Top 8 peaks for 10° ≤ 2θ ≤ 80°, by angle:
- (0 1 0), 2θ 17.75, rel. 1000
- (0 0 4), 2θ 19.25, rel. 781
- (0 1 4), 2θ 26.30, rel. 730
- (0 2 0), 2θ 35.94, rel. 272
- (1 1 0), 2θ 37.75, rel. 300
- (1 0 4), 2θ 38.52, rel. 403
- (0 0 8), 2θ 39.06, rel. 282
- (1 1 4), 2θ 42.71, rel. 552